No. 1
For SmGaNO, a crystal structure in OQMD, relaxed with GGA-PBE gives the computed XRD peak list in this record (λ = 1.5418 Å (Cu Kα)).
Peak positions follow from Bragg's law for the DFT cell and can differ from measured ones.

Crystal structure
```
data_SmGaNO
_space_group_name_H-M_alt 'P c a 21'
_space_group_IT_number 29
_space_group_name_Hall 'P 2c -2ac'
_cell_length_a 5.857
_cell_length_b 7.703
_cell_length_c 5.174
_cell_angle_alpha 90.00
_cell_angle_beta 90.00
_cell_angle_gamma 90.00
loop_
_atom_site_label
_atom_site_type_symbol
_atom_site_fract_x
_atom_site_fract_y
_atom_site_fract_z
Sm1 Sm 0.049 0.135 0.000
Ga1 Ga 0.087 0.592 0.949
N1 N 0.107 0.587 0.580
O1 O 0.058 0.175 0.509
```

Most intense lines, 2θ from 5° to 70°, by angle:
Position (°2θ), d (Å), Rel. int., index
25.7, 3.464, 25, 1 1 1
27.7, 3.218, 21, 1 2 0
30.5, 2.929, 27, 2 0 0
32.8, 2.733, 100, 1 2 1
34.7, 2.587, 36, 0 0 2
35.2, 2.549, 21, 2 0 1
52.6, 1.741, 17, 3 2 0
60.9, 1.520, 15, 1 2 3

No. 2
For SmGaNO, a crystal structure in OQMD, relaxed with GGA-PBE gives the computed XRD peak list in this record (λ = 1.5418 Å (Cu Kα)).
Peak positions follow from Bragg's law for the DFT cell and can differ from measured ones.

Crystal structure
```
data_SmGaNO
_space_group_name_H-M_alt 'P 4/n m m'
_space_group_IT_number 129
_cell_length_a 4.877
_cell_length_b 4.877
_cell_length_c 4.786
_cell_angle_alpha 90.00
_cell_angle_beta 90.00
_cell_angle_gamma 90.00
loop_
_space_group_symop_operation_xyz
'x,y,z'
'-x,-y,-z'
'-y+1/2,x,z'
'y+1/2,-x,-z'
'-x+1/2,-y+1/2,z'
'x+1/2,y+1/2,-z'
'y,-x+1/2,z'
'-y,x+1/2,-z'
'x+1/2,-y,-z'
'-x+1/2,y,z'
'-y,-x,-z'
'y,x,z'
'-x,y+1/2,-z'
'x,-y+1/2,z'
'y+1/2,x+1/2,-z'
'-y+1/2,-x+1/2,z'
loop_
_atom_site_label
_atom_site_type_symbol
_atom_site_fract_x
_atom_site_fract_y
_atom_site_fract_z
Sm1 Sm 0.250 0.750 0.000
Ga1 Ga 0.250 0.250 0.486
N1 N 0.250 0.250 0.074
O1 O 0.250 0.750 0.500
```

Most intense lines, 2θ from 5° to 70°, by angle:
Position (°2θ), d (Å), Rel. int., index
32.0, 2.798, 100, 1 1 1
36.9, 2.438, 58, 2 0 0
37.6, 2.393, 26, 0 0 2
53.1, 1.724, 20, 2 2 0
53.7, 1.708, 36, 2 0 2
63.4, 1.468, 30, 3 1 1
64.3, 1.448, 15, 1 1 3
66.9, 1.399, 18, 2 2 2

No. 3
For TmGaNO, a crystal structure in OQMD, relaxed with GGA-PBE gives the computed XRD peak list in this record (λ = 1.5418 Å (Cu Kα)).
Peak positions follow from Bragg's law for the DFT cell and can differ from measured ones.

Crystal structure
```
data_TmGaNO
_space_group_name_H-M_alt 'P c a 21'
_space_group_IT_number 29
_space_group_name_Hall 'P 2c -2ac'
_cell_length_a 5.843
_cell_length_b 7.384
_cell_length_c 5.143
_cell_angle_alpha 90.00
_cell_angle_beta 90.00
_cell_angle_gamma 90.00
loop_
_atom_site_label
_atom_site_type_symbol
_atom_site_fract_x
_atom_site_fract_y
_atom_site_fract_z
Tm1 Tm 0.051 0.127 0.000
Ga1 Ga 0.092 0.598 0.964
N1 N 0.096 0.599 0.588
O1 O 0.080 0.176 0.554
```

Most intense lines, 2θ from 5° to 70°, by angle:
Position (°2θ), d (Å), Rel. int., index
12.0, 7.384, 19, 0 1 0
26.0, 3.421, 26, 1 1 1
28.6, 3.121, 22, 1 2 0
30.6, 2.922, 26, 2 0 0
33.6, 2.668, 100, 1 2 1
34.9, 2.572, 37, 0 0 2
35.3, 2.540, 23, 2 0 1
61.7, 1.503, 19, 1 2 3

No. 4
For ZnGa3N3O, a crystal structure in OQMD, relaxed with GGA-PBE gives the computed XRD peak list in this record (λ = 1.5418 Å (Cu Kα)).
Peak positions follow from Bragg's law for the DFT cell and can differ from measured ones.

Crystal structure
```
data_ZnGa3N3O
_space_group_name_H-M_alt 'P 1'
_space_group_IT_number 1
_space_group_name_Hall 'P 1'
_cell_length_a 6.438
_cell_length_b 6.439
_cell_length_c 10.427
_cell_angle_alpha 90.01
_cell_angle_beta 90.01
_cell_angle_gamma 119.97
loop_
_atom_site_label
_atom_site_type_symbol
_atom_site_fract_x
_atom_site_fract_y
_atom_site_fract_z
Zn1 Zn 0.000 0.000 0.000
Zn2 Zn 0.001 0.500 0.003
Zn3 Zn 0.178 0.839 0.758
Zn4 Zn 0.656 0.828 0.757
Ga1 Ga 0.006 0.011 0.485
Ga2 Ga 0.168 0.833 0.234
Ga3 Ga 0.169 0.335 0.234
Ga4 Ga 0.177 0.337 0.744
Ga5 Ga 0.497 0.491 0.487
Ga6 Ga 0.499 0.498 0.996
Ga7 Ga 0.501 0.001 0.995
Ga8 Ga 0.506 0.010 0.486
Ga9 Ga 0.657 0.326 0.746
Ga10 Ga 0.666 0.832 0.236
Ga11 Ga 0.667 0.334 0.237
Ga12 Ga 0.995 0.491 0.487
N1 N 0.000 0.999 0.304
N2 N 0.001 0.500 0.304
N3 N 0.169 0.336 0.555
N4 N 0.175 0.337 0.053
N5 N 0.177 0.839 0.053
N6 N 0.498 0.491 0.805
N7 N 0.501 0.501 0.304
N8 N 0.501 0.999 0.305
N9 N 0.510 0.012 0.806
N10 N 0.659 0.829 0.053
N11 N 0.660 0.330 0.054
N12 N 0.668 0.335 0.555
O1 O 0.004 0.011 0.789
O2 O 0.167 0.833 0.545
O3 O 0.668 0.834 0.544
O4 O 0.995 0.488 0.789
```

Most intense lines, 2θ from 5° to 70°, by angle:
Position (°2θ), d (Å), Rel. int., index
32.1, 2.788, 46, 2 -2 0
34.4, 2.607, 37, 0 0 4
36.5, 2.459, 100, 2 0 2
47.8, 1.904, 21, 2 -2 4
57.2, 1.610, 31, 4 -2 0
63.0, 1.475, 29, 2 0 6
68.5, 1.370, 27, 2 -4 4
69.8, 1.347, 15, 4 -4 2